Starting from the GGA-PBE geometry in Alexandria, the X-ray powder pattern of YGa2Cl5 was calculated for a wavelength of 1.5418 Å.

Structural model:
a = 16.0660 Å, b = 7.3748 Å, c = 10.1157 Å
α = 90.00°, β = 119.10°, γ = 90.00°
Space group C2/c (No. 15)
Symmetry-distinct sites (fractional):
Y1 0.0000 0.0000 0.0000
Ga1 0.1302 0.4715 0.2453
Cl1 0.0000 0.1376 0.7500
Cl2 0.0673 0.3140 0.4674
Cl3 0.1716 0.1383 0.1671

Main lines, most intense first (10 to 90 degrees two-theta):
| (hkl) | 2theta | I_rel |
| --- | --- | --- |
| 2 0 0 | 12.6 | 100 |
| 1 1 -2 | 21.6 | 93 |
| 3 1 0 | 22.5 | 89 |
| 2 0 -2 | 17.8 | 81 |
| 4 2 -2 | 33.9 | 75 |
| 5 1 0 | 34.2 | 61 |
| 3 1 -4 | 37.6 | 61 |
| 2 2 -1 | 26.9 | 59 |
| 1 3 2 | 44.1 | 56 |
| 3 1 1 | 28.3 | 44 |

***

Starting from the GGA-PBE geometry in Alexandria, the X-ray powder pattern of Y4GaCl5 was calculated for a wavelength of 1.5418 Å.

Structural model:
a = 17.7280 Å, b = 3.9725 Å, c = 8.1445 Å
α = 90.00°, β = 102.84°, γ = 90.00°
Space group C2/m (No. 12)
Symmetry-distinct sites (fractional):
Y1 0.0008 0.0000 0.2368
Y2 0.1562 0.5000 0.0869
Ga1 0.0000 0.5000 0.0000
Cl1 0.0000 0.5000 0.5000
Cl2 0.1668 0.0000 0.3246
Cl3 0.1744 0.0000 0.8528

Main lines, most intense first (10 to 90 degrees two-theta):
| (hkl) | 2theta | I_rel |
| --- | --- | --- |
| 1 1 -2 | 31.5 | 100 |
| 0 0 1 | 11.1 | 74 |
| 6 0 0 | 31.0 | 50 |
| 2 0 0 | 10.2 | 37 |
| 5 1 2 | 44.7 | 34 |
| 7 1 -2 | 44.9 | 33 |
| 2 0 -4 | 44.5 | 18 |
| 0 2 0 | 45.7 | 17 |
| 6 2 0 | 56.3 | 17 |
| 1 1 -1 | 25.1 | 15 |

***

Starting from the GGA-PBE geometry in Alexandria, the X-ray powder pattern of ZnGaCl4 was calculated for a wavelength of 1.5418 Å.

Structural model:
a = 14.5250 Å, b = 3.6753 Å, c = 6.4714 Å
α = 90.00°, β = 116.35°, γ = 90.00°
Space group C2/m (No. 12)
Symmetry-distinct sites (fractional):
Zn1 0.0000 0.0000 0.0000
Ga1 0.0000 0.5000 0.5000
Cl1 0.1067 0.5000 0.2598
Cl2 0.1098 0.0000 0.7958

Main lines, most intense first (10 to 90 degrees two-theta):
| (hkl) | 2theta | I_rel |
| --- | --- | --- |
| 2 0 0 | 13.6 | 100 |
| 1 1 1 | 31.2 | 56 |
| 3 1 1 | 39.5 | 40 |
| 4 0 -2 | 30.9 | 27 |
| 6 0 -2 | 39.3 | 22 |
| 7 1 -1 | 50.9 | 18 |
| 3 1 -3 | 49.0 | 18 |
| 5 1 -3 | 51.1 | 12 |
| 4 0 2 | 50.6 | 9 |
| 0 2 0 | 49.6 | 9 |

***

Starting from the GGA-PBE geometry in Alexandria, the X-ray powder pattern of KGd2Cl7 was calculated for a wavelength of 1.5418 Å.

Structural model:
a = 7.0427 Å, b = 12.7452 Å, c = 13.5965 Å
α = 90.00°, β = 93.18°, γ = 90.00°
Space group P2_1/c (No. 14)
Symmetry-distinct sites (fractional):
K1 0.1947 0.2194 0.4780
Gd1 0.2162 0.5358 0.2600
Gd2 0.2850 0.6601 0.7561
Cl1 0.0076 0.7062 0.3203
Cl2 0.0286 0.5679 0.6238
Cl3 0.0794 0.5242 0.8681
Cl4 0.2439 0.6862 0.1127
Cl5 0.4365 0.0615 0.6270
Cl6 0.4499 0.0981 0.8712
Cl7 0.4855 0.6728 0.3354

Main lines, most intense first (10 to 90 degrees two-theta):
| (hkl) | 2theta | I_rel |
| --- | --- | --- |
| 0 0 2 | 13.0 | 100 |
| 1 1 0 | 14.4 | 41 |
| 1 1 -2 | 19.0 | 38 |
| 0 4 3 | 34.4 | 29 |
| 1 3 1 | 25.5 | 28 |
| 1 1 2 | 19.9 | 27 |
| 1 3 3 | 32.0 | 22 |
| 1 3 -3 | 31.1 | 22 |
| 2 0 -4 | 35.7 | 21 |
| 1 3 -1 | 25.2 | 21 |

***

Starting from the GGA-PBE geometry in Alexandria, the X-ray powder pattern of Gd3NCl6 was calculated for a wavelength of 1.5418 Å.

Structural model:
a = 7.1766 Å, b = 8.2469 Å, c = 9.9148 Å
α = 75.91°, β = 71.13°, γ = 65.37°
Space group P-1 (No. 2)
Symmetry-distinct sites (fractional):
Gd1 0.0919 0.0913 0.1801
Gd2 0.2182 0.4339 0.2737
Gd3 0.2397 0.4178 0.8743
N1 0.0927 0.3715 0.1188
Cl1 0.0370 0.1760 0.8958
Cl2 0.1939 0.4191 0.5932
Cl3 0.2225 0.1082 0.3991
Cl4 0.3228 0.7212 0.2924
Cl5 0.3302 0.7368 0.7150
Cl6 0.5000 0.0000 0.0000
Cl7 0.5000 0.5000 0.0000

Main lines, most intense first (10 to 90 degrees two-theta):
| (hkl) | 2theta | I_rel |
| --- | --- | --- |
| 1 3 0 | 33.6 | 100 |
| 0 1 0 | 11.9 | 45 |
| 1 -1 3 | 34.5 | 44 |
| 2 -1 0 | 34.7 | 44 |
| 1 0 -3 | 35.3 | 39 |
| 0 0 2 | 19.1 | 38 |
| 1 0 0 | 14.0 | 37 |
| 3 2 0 | 40.8 | 31 |
| 1 -1 0 | 21.6 | 31 |
| 1 1 2 | 19.7 | 30 |

***

Starting from the GGA-PBE geometry in Alexandria, the X-ray powder pattern of Gd3Si2Cl5O6 was calculated for a wavelength of 1.5418 Å.

Structural model:
a = 10.7264 Å, b = 10.5541 Å, c = 11.8720 Å
α = 90.00°, β = 103.16°, γ = 90.00°
Space group C2/m (No. 12)
Symmetry-distinct sites (fractional):
Gd1 0.1668 0.2491 0.1689
Gd2 0.2500 0.2500 0.5000
Si1 0.0360 0.1453 0.6431
Cl1 0.1056 0.2203 0.9207
Cl2 0.1211 0.5000 0.1427
Cl3 0.1863 0.5000 0.4980
Cl4 0.2211 0.0000 0.1638
O1 0.0000 0.1450 0.5000
O2 0.0472 0.0000 0.6905
O3 0.0868 0.2178 0.3278
O4 0.1740 0.2169 0.6722

Main lines, most intense first (10 to 90 degrees two-theta):
| (hkl) | 2theta | I_rel |
| --- | --- | --- |
| 0 2 0 | 16.8 | 100 |
| 2 0 0 | 17.0 | 56 |
| 2 2 -1 | 24.0 | 41 |
| 2 0 3 | 31.8 | 40 |
| 0 0 3 | 23.1 | 39 |
| 4 2 2 | 44.6 | 34 |
| 2 4 0 | 38.2 | 34 |
| 2 0 -3 | 25.4 | 34 |
| 4 4 -4 | 54.3 | 32 |
| 2 2 -4 | 36.2 | 30 |